Starting from the PBE geometry in Alexandria, the powder diffractogram of CaTl2SiSe4 was calculated for Cu Ka.
Intensities are scaled so that the largest is 100.

Principal peaks in the range 10° ≤ 2θ ≤ 90°, by angle:
d = 6.699 Å, I = 14
d = 3.516 Å, I = 13
d = 2.977 Å, I = 100
d = 2.697 Å, I = 19
d = 2.197 Å, I = 11
d = 2.105 Å, I = 43
d = 2.027 Å, I = 14
d = 1.767 Å, I = 12
d = 1.675 Å, I = 11
d = 1.331 Å, I = 14

Atomic structure:
```
CaTl2SiSe4
1.0
-4.0535 4.3938 5.9469
4.0535 -4.3938 5.9469
4.0535 4.3938 -5.9469
Ca Tl Si Se
2 4 2 8
Cartesian
0.0000 0.0000 0.0000
0.0000 4.3938 0.0000
4.0535 0.0000 0.0000
-2.0268 2.1969 2.9735
0.0000 0.0000 5.9469
2.0268 2.1969 2.9735
2.0268 2.1969 -2.9735
2.0268 -2.1969 2.9735
4.0535 3.9210 -3.0379
4.0535 -0.4728 3.0379
1.9094 2.1969 -0.4273
2.1441 -2.1969 5.5196
1.9094 6.5907 0.4273
2.1441 2.1969 6.3742
0.0000 4.8665 2.9090
0.0000 0.4728 8.9848
```

=====

Starting from the PBE geometry in Alexandria, the powder diffractogram of CaSm8Se12 was calculated for Cu Ka.
Intensities are scaled so that the largest is 100.

Principal peaks in the range 10° ≤ 2θ ≤ 90°, by angle:
d = 3.630 Å, I = 22
d = 3.604 Å, I = 14
d = 2.816 Å, I = 100
d = 2.782 Å, I = 48
d = 2.379 Å, I = 30
d = 2.372 Å, I = 37
d = 2.360 Å, I = 27
d = 1.970 Å, I = 14
d = 1.815 Å, I = 11
d = 1.445 Å, I = 17

Atomic structure:
```
CaSm8Se12
1.0
6.2943 -6.3091 0.0000
6.2943 6.3091 0.0000
-6.2874 0.0000 13.1785
Ca Sm Se
2 16 24
Cartesian
3.1506 3.9716 6.5892
6.2943 -3.9716 0.0000
5.5186 4.7624 1.0883
1.6919 5.4275 10.9786
-0.0383 2.2915 8.7759
2.3781 1.5753 3.2911
-1.4831 0.8482 13.1635
-0.7656 -1.5753 9.8803
1.6606 -0.8482 6.5742
6.2315 2.3079 4.3753
3.1054 -2.2915 2.1867
2.4169 1.6255 12.0989
4.8210 0.8957 8.7995
5.5606 -1.6255 5.5096
7.9647 -0.8957 2.2102
3.0878 -2.3079 10.9645
2.3749 -4.7624 7.6775
4.8356 -5.4275 4.3894
3.0724 3.1622 0.6166
0.8609 2.1979 5.9601
-2.3589 0.9326 10.3307
3.9561 4.0725 3.7397
1.7409 0.0312 0.6300
-1.4028 -0.0312 7.2193
-0.1060 3.1609 11.6096
0.7848 -0.9326 3.7414
3.0234 3.1398 9.4500
7.1045 2.2740 1.5491
-2.2828 -2.1979 12.5494
3.9859 0.8565 5.9446
4.8759 -0.0020 2.8066
1.7322 0.0020 9.3958
-0.0713 -3.1622 7.2058
0.8422 -0.8565 12.5338
3.0377 -3.1609 5.0204
0.8124 -4.0725 10.3289
10.2051 0.9212 1.5838
3.9608 -2.2740 8.1383
7.9933 0.0362 5.0083
4.8496 -0.0362 11.5975
6.1671 -3.1398 2.8607
7.0614 -0.9212 8.1730
```

=====

Starting from the PBE geometry in Alexandria, the powder diffractogram of CaSm2Se4 was calculated for Cu Ka.
Intensities are scaled so that the largest is 100.

Principal peaks in the range 10° ≤ 2θ ≤ 90°, by angle:
d = 7.089 Å, I = 45
d = 3.956 Å, I = 38
d = 3.889 Å, I = 70
d = 3.147 Å, I = 61
d = 3.063 Å, I = 53
d = 2.994 Å, I = 70
d = 2.812 Å, I = 91
d = 2.305 Å, I = 48
d = 2.066 Å, I = 40
d = 2.055 Å, I = 100

Atomic structure:
```
CaSm2Se4
1.0
2.0664 -6.8449 0.0000
2.0664 6.8449 0.0000
0.0000 0.0000 14.1774
Ca Sm Se
2 4 8
Cartesian
2.0664 5.2830 10.6330
2.0664 -5.2830 3.5443
2.0664 1.8357 8.1108
2.0664 1.8357 13.1553
2.0664 -1.8357 1.0221
2.0664 -1.8357 6.0666
0.0000 0.0000 0.0000
0.0000 0.0000 7.0887
2.0664 3.0867 1.7020
2.0664 3.0867 5.3867
2.0664 0.4842 10.6330
2.0664 -0.4842 3.5443
2.0664 -3.0867 8.7907
2.0664 -3.0867 12.4754
```

=====

Starting from the PBE geometry in Alexandria, the powder diffractogram of CaTb4SmSe8 was calculated for Cu Ka.
Intensities are scaled so that the largest is 100.

Principal peaks in the range 10° ≤ 2θ ≤ 90°, by angle:
d = 6.951 Å, I = 41
d = 4.256 Å, I = 17
d = 3.629 Å, I = 100
d = 3.009 Å, I = 87
d = 2.315 Å, I = 40
d = 2.131 Å, I = 61
d = 2.124 Å, I = 61
d = 1.735 Å, I = 16
d = 1.505 Å, I = 19
d = 1.228 Å, I = 19

Atomic structure:
```
CaTb4SmSe8
1.0
4.2486 2.4529 6.9726
-4.2486 2.4529 6.9726
0.0000 -4.9059 6.9726
Ca Tb Sm Se
1 4 1 8
Cartesian
0.0000 0.0000 0.0000
-2.1595 -1.2468 9.5836
0.0000 0.0000 5.2501
2.1595 -1.2468 9.5836
0.0000 2.4935 9.5836
0.0000 0.0000 13.1283
0.0000 -2.3202 11.2594
-2.0093 1.1601 11.2594
0.0000 0.0000 8.0257
-1.9777 -1.1418 14.9263
2.0093 1.1601 11.2594
0.0000 0.0000 18.1079
1.9777 -1.1418 14.9263
0.0000 2.2837 14.9263
```

=====

Starting from the PBE geometry in Alexandria, the powder diffractogram of Ca2SmTmSe4 was calculated for Cu Ka.
Intensities are scaled so that the largest is 100.

Principal peaks in the range 10° ≤ 2θ ≤ 90°, by angle:
d = 6.851 Å, I = 26
d = 3.514 Å, I = 11
d = 2.930 Å, I = 100
d = 2.085 Å, I = 37
d = 2.060 Å, I = 36
d = 1.685 Å, I = 19
d = 1.465 Å, I = 12
d = 1.317 Å, I = 16
d = 1.304 Å, I = 16
d = 1.193 Å, I = 8

Atomic structure:
```
Ca2SmTmSe4
1.0
7.1397 0.0000 0.0000
0.0000 4.1162 0.0000
-2.3733 0.0000 6.8506
Ca Sm Tm Se
2 1 1 4
Cartesian
0.0000 0.0000 0.0000
3.5699 2.0581 0.0000
-1.1867 2.0581 3.4253
2.3832 0.0000 3.4253
0.0564 0.0000 5.1323
1.2397 2.0581 1.7541
3.5267 2.0581 5.0965
4.7100 0.0000 1.7183
```

=====

Starting from the PBE geometry in Alexandria, the powder diffractogram of CaSmY4Se8 was calculated for Cu Ka.
Intensities are scaled so that the largest is 100.

Principal peaks in the range 10° ≤ 2θ ≤ 90°, by angle:
d = 6.931 Å, I = 36
d = 3.625 Å, I = 61
d = 3.004 Å, I = 100
d = 2.311 Å, I = 36
d = 2.128 Å, I = 60
d = 2.120 Å, I = 60
d = 1.732 Å, I = 18
d = 1.502 Å, I = 18
d = 1.341 Å, I = 15
d = 1.225 Å, I = 18

Atomic structure:
```
CaSmY4Se8
1.0
4.2395 2.4477 6.9653
-4.2395 2.4477 6.9653
0.0000 -4.8954 6.9653
Ca Sm Y Se
1 1 4 8
Cartesian
0.0000 0.0000 0.0000
0.0000 0.0000 13.1193
-2.1541 -1.2437 9.5774
0.0000 0.0000 5.2467
2.1541 -1.2437 9.5773
0.0000 2.4874 9.5773
0.0000 -2.3165 11.2471
-2.0062 1.1583 11.2471
0.0000 0.0000 8.0205
-1.9739 -1.1396 14.9194
2.0062 1.1583 11.2471
0.0000 0.0000 18.0884
1.9739 -1.1396 14.9194
0.0000 2.2793 14.9194
```

=====

Starting from the PBE geometry in Alexandria, the powder diffractogram of Ca3SmY3Se8 was calculated for Cu Ka.
Intensities are scaled so that the largest is 100.

Principal peaks in the range 10° ≤ 2θ ≤ 90°, by angle:
d = 6.843 Å, I = 17
d = 3.511 Å, I = 9
d = 2.927 Å, I = 100
d = 2.083 Å, I = 37
d = 2.058 Å, I = 36
d = 1.683 Å, I = 19
d = 1.464 Å, I = 12
d = 1.316 Å, I = 16
d = 1.303 Å, I = 16
d = 1.193 Å, I = 12

Atomic structure:
```
Ca3SmY3Se8
1.0
4.1153 2.3760 6.8432
-4.1153 2.3760 6.8432
0.0000 -4.7520 6.8432
Ca Sm Y Se
3 1 3 8
Cartesian
-2.0577 -1.1880 6.8432
-2.0577 1.1880 13.6864
0.0000 2.3760 6.8432
0.0000 0.0000 10.2648
-4.1153 0.0000 10.2648
-2.0577 1.1880 3.4216
2.0577 1.1880 3.4216
-2.0914 -1.2074 11.9493
0.0000 0.0000 5.1009
0.0000 -2.4149 8.5803
-2.0914 1.2074 8.5803
2.0914 -1.2075 11.9492
0.0000 2.4149 11.9492
0.0000 0.0000 15.4287
2.0914 1.2075 8.5803
```

=====

Starting from the PBE geometry in Alexandria, the powder diffractogram of CaSn5Se7 was calculated for Cu Ka.
Intensities are scaled so that the largest is 100.

Principal peaks in the range 10° ≤ 2θ ≤ 90°, by angle:
d = 3.538 Å, I = 30
d = 3.145 Å, I = 50
d = 3.068 Å, I = 27
d = 2.999 Å, I = 75
d = 2.895 Å, I = 77
d = 2.821 Å, I = 32
d = 2.264 Å, I = 29
d = 2.158 Å, I = 27
d = 2.102 Å, I = 38
d = 2.087 Å, I = 100

Atomic structure:
```
CaSn5Se7
1.0
6.9042 -2.0864 0.0000
6.9042 2.0864 0.0000
-0.0119 0.0000 24.7249
Ca Sn Se
2 10 14
Cartesian
0.0000 0.0000 0.0000
8.1549 0.0000 12.3739
0.8954 0.0000 16.6339
0.9108 0.0000 8.0593
3.5141 0.0000 22.2759
3.5370 0.0000 2.4182
4.6106 0.0000 14.7806
4.6334 0.0000 9.9129
7.2531 0.0000 4.2710
7.2371 0.0000 20.4203
10.9723 0.0000 18.5290
10.9845 0.0000 6.1669
2.1998 0.0000 5.2606
2.1855 0.0000 19.4263
3.3148 0.0000 12.3430
4.8277 0.0000 24.7063
5.9492 0.0000 17.6230
5.9620 0.0000 7.0645
8.4542 0.0000 22.9511
8.4791 0.0000 1.7450
9.6142 0.0000 15.7953
9.6448 0.0000 8.8681
12.3112 0.0000 21.2313
12.3408 0.0000 3.4370
13.4769 0.0000 14.1094
13.5003 0.0000 10.5908
```

=====

Starting from the PBE geometry in Alexandria, the powder diffractogram of CaSn4Se6 was calculated for Cu Ka.
Intensities are scaled so that the largest is 100.

Principal peaks in the range 10° ≤ 2θ ≤ 90°, by angle:
d = 8.768 Å, I = 40
d = 4.162 Å, I = 20
d = 3.051 Å, I = 76
d = 3.035 Å, I = 100
d = 2.977 Å, I = 26
d = 2.923 Å, I = 76
d = 2.227 Å, I = 32
d = 2.180 Å, I = 22
d = 2.124 Å, I = 29
d = 2.105 Å, I = 58

Atomic structure:
```
CaSn4Se6
1.0
6.0712 0.0000 0.0000
-0.1596 6.1340 0.0000
-3.0259 -0.8979 8.7678
Ca Sn Se
1 4 6
Cartesian
0.0000 0.0000 0.0000
-0.1903 2.4472 2.7831
-0.2521 5.4179 6.0412
2.8324 5.3826 2.6242
2.4804 2.6602 5.8383
-0.1336 5.2076 2.8131
-0.1070 2.2605 5.5606
3.0423 0.3182 0.0733
3.0497 2.0933 3.3054
2.7256 5.2734 5.8313
3.1496 2.1597 8.2186
```

=====

Starting from the PBE geometry in Alexandria, the powder diffractogram of Ca3Tb4Se8 was calculated for Cu Ka.
Intensities are scaled so that the largest is 100.

Principal peaks in the range 10° ≤ 2θ ≤ 90°, by angle:
d = 6.765 Å, I = 31
d = 5.838 Å, I = 15
d = 2.932 Å, I = 51
d = 2.918 Å, I = 100
d = 2.074 Å, I = 19
d = 2.070 Å, I = 37
d = 2.062 Å, I = 55
d = 1.691 Å, I = 19
d = 1.683 Å, I = 19
d = 1.308 Å, I = 12

Atomic structure:
```
Ca3Tb4Se8
1.0
5.8274 -5.8444 0.0000
5.8274 5.8444 0.0000
-5.7842 0.0000 5.8635
Ca Tb Se
3 4 8
Cartesian
0.0000 0.0000 0.0000
2.9137 2.9222 0.0000
2.9137 -2.9222 0.0000
0.0216 2.9222 2.9317
0.0216 -2.9222 2.9317
5.8274 0.0000 0.0000
2.9353 0.0000 2.9317
0.0149 0.0000 2.9536
5.8274 2.9084 0.0000
2.9353 2.9083 2.9317
2.9506 0.0000 0.0459
2.9199 0.0000 5.8175
5.8274 -2.9084 0.0000
2.9353 -2.9083 2.9317
5.8556 0.0000 2.9099
```

=====

Starting from the PBE geometry in Alexandria, the powder diffractogram of CaTb4Y3Se8 was calculated for Cu Ka.
Intensities are scaled so that the largest is 100.

Principal peaks in the range 10° ≤ 2θ ≤ 90°, by angle:
d = 6.703 Å, I = 10
d = 3.498 Å, I = 7
d = 3.350 Å, I = 7
d = 2.901 Å, I = 100
d = 2.051 Å, I = 73
d = 1.749 Å, I = 3
d = 1.675 Å, I = 26
d = 1.451 Å, I = 12
d = 1.297 Å, I = 33
d = 1.184 Å, I = 24

Atomic structure:
```
CaTb4Y3Se8
1.0
4.1019 2.3682 6.7030
-4.1019 2.3682 6.7030
0.0000 -4.7365 6.7030
Ca Tb Y Se
1 4 3 8
Cartesian
0.0000 0.0000 0.0000
-4.1019 0.0000 10.0544
-2.0509 1.1841 3.3515
2.0509 1.1841 3.3515
0.0000 0.0000 10.0545
-2.0509 -1.1841 6.7030
-2.0509 1.1841 13.4059
0.0000 2.3682 6.7030
0.0000 0.0000 5.0323
0.0000 -2.3674 8.3744
-2.0502 1.1837 8.3744
-2.0502 -1.1837 11.7346
2.0502 1.1837 8.3743
2.0502 -1.1837 11.7346
0.0000 2.3674 11.7346
0.0000 0.0000 15.0766
```

=====

Starting from the PBE geometry in Alexandria, the powder diffractogram of Ca2TcSe was calculated for Cu Ka.
Intensities are scaled so that the largest is 100.

Principal peaks in the range 10° ≤ 2θ ≤ 90°, by angle:
d = 8.565 Å, I = 100
d = 2.855 Å, I = 9
d = 2.643 Å, I = 44
d = 2.376 Å, I = 33
d = 2.289 Å, I = 16
d = 2.176 Å, I = 30
d = 1.826 Å, I = 9
d = 1.680 Å, I = 11
d = 1.418 Å, I = 12
d = 1.330 Å, I = 12

Atomic structure:
```
Ca2TcSe
1.0
3.3596 0.0000 0.0000
0.0000 3.3596 0.0000
0.0000 0.0000 8.5654
Ca Tc Se
2 1 1
Cartesian
0.0000 0.0000 0.0000
1.6798 1.6798 3.2651
1.6798 1.6798 6.3997
0.0000 0.0000 5.3493
```